# NaCoO2
Calculated powder diffractogram, Cu Kα (λ = 1.5418 Å). Input: the GGA+U geometry in the Materials Project.

Largest 8 diffraction maxima, by angle, 10 to 90 degrees two-theta:
2θ 16.09, I 75; 2θ 32.51, I 19; 2θ 34.41, I 67; 2θ 38.20, I 36; 2θ 48.06, I 100; 2θ 61.63, I 29; 2θ 78.57, I 15; 2θ 81.75, I 17

Atomic structure:
```
NaCoO2
1.0
3.010 0.000 0.000
-1.505 2.607 0.000
0.000 0.000 5.508
Na Co O
1 1 2
Cartesian
0.000 0.000 0.000 Na
0.000 0.000 2.754 Co
0.000 1.738 3.842 O
1.505 0.869 1.666 O
```

---

# FeOF
Calculated powder diffractogram, Cu Kα (λ = 1.5418 Å). Input: the GGA+U geometry in the Materials Project.

Largest 8 diffraction maxima, by angle, 10 to 90 degrees two-theta:
2θ 26.43, I 100; 2θ 34.70, I 52; 2θ 39.66, I 20; 2θ 52.19, I 56; 2θ 54.42, I 15; 2θ 60.15, I 12; 2θ 66.17, I 19; 2θ 66.86, I 12

Atomic structure:
```
FeOF
1.0
6.152 0.000 0.000
0.000 3.373 3.371
0.000 -3.373 3.371
Fe O F
4 4 4
Cartesian
0.000 0.000 0.000 Fe
1.538 0.237 3.636 Fe
3.076 0.000 0.000 Fe
4.614 -0.237 3.636 Fe
0.000 0.000 4.794 O
1.538 2.163 3.508 O
3.076 0.000 4.794 O
4.614 -2.163 3.508 O
0.000 0.000 2.181 F
1.538 -1.975 3.480 F
3.076 0.000 2.181 F
4.614 1.975 3.480 F
```

---

# Fe4O3F5
Calculated powder diffractogram, Cu Kα (λ = 1.5418 Å). Input: the GGA+U geometry in the Materials Project.

Largest 8 diffraction maxima, by angle, 10 to 90 degrees two-theta:
2θ 25.85, I 98; 2θ 26.63, I 100; 2θ 33.83, I 50; 2θ 34.56, I 53; 2θ 38.84, I 29; 2θ 50.38, I 27; 2θ 51.94, I 31; 2θ 52.82, I 28

Atomic structure:
```
Fe4O3F5
1.0
4.979 -3.130 0.000
4.979 3.130 0.000
-0.274 0.000 9.291
Fe O F
8 6 10
Cartesian
2.490 1.565 0.000 Fe
2.353 1.565 4.646 Fe
0.113 0.000 2.453 Fe
4.401 0.000 7.053 Fe
2.490 -1.565 0.000 Fe
2.353 -1.565 4.646 Fe
5.284 0.000 2.238 Fe
9.572 0.000 6.838 Fe
3.771 1.580 5.978 O
3.165 0.000 8.432 O
5.914 1.580 3.313 O
3.771 -1.580 5.978 O
6.520 0.000 0.859 O
5.914 -1.580 3.313 O
1.377 0.000 0.944 F
1.371 0.000 5.599 F
4.098 1.585 1.513 F
5.588 1.585 7.778 F
3.299 0.000 3.736 F
6.386 0.000 5.555 F
4.098 -1.585 1.513 F
5.588 -1.585 7.778 F
8.314 0.000 3.692 F
8.308 0.000 8.347 F
```

---

# Al5Co3O12
Calculated powder diffractogram, Cu Kα (λ = 1.5418 Å). Input: the GGA+U geometry in the Materials Project.

Largest 8 diffraction maxima, by angle, 10 to 90 degrees two-theta:
2θ 31.09, I 71; 2θ 31.16, I 95; 2θ 31.44, I 44; 2θ 36.52, I 63; 2θ 36.74, I 100; 2θ 36.93, I 85; 2θ 64.82, I 46; 2θ 64.97, I 68

Atomic structure:
```
Al5Co3O12
1.0
4.986 -2.872 0.000
4.986 2.872 0.000
-0.187 0.000 13.989
Al Co O
10 6 24
Cartesian
2.493 1.436 0.000 Al
1.504 0.000 9.283 Al
4.046 1.451 9.267 Al
5.740 1.451 4.722 Al
3.223 0.000 11.682 Al
2.493 -1.436 0.000 Al
6.563 0.000 2.306 Al
4.046 -1.451 9.267 Al
5.740 -1.451 4.722 Al
8.282 0.000 4.706 Al
0.073 0.000 1.672 Co
3.237 0.000 2.900 Co
3.242 0.000 6.362 Co
6.544 0.000 7.627 Co
6.549 0.000 11.088 Co
9.713 0.000 12.317 Co
-0.046 0.000 3.649 O
9.832 0.000 10.339 O
2.442 1.271 10.438 O
3.817 1.379 12.792 O
1.543 0.000 5.637 O
4.114 1.462 5.618 O
1.658 0.000 12.889 O
3.203 0.000 1.084 O
5.672 1.462 8.371 O
3.196 0.000 8.311 O
5.968 1.379 1.196 O
2.442 -1.271 10.438 O
4.675 0.000 10.462 O
5.111 0.000 3.527 O
7.343 1.271 3.550 O
3.817 -1.379 12.792 O
6.590 0.000 5.678 O
4.114 -1.462 5.618 O
6.582 0.000 12.905 O
8.128 0.000 1.099 O
5.672 -1.462 8.371 O
8.243 0.000 8.351 O
5.968 -1.379 1.196 O
7.343 -1.271 3.550 O
```

---

# TlW6O18
Calculated powder diffractogram, Cu Kα (λ = 1.5418 Å). Input: the GGA+U geometry in the Materials Project.

Largest 8 diffraction maxima, by angle, 10 to 90 degrees two-theta:
2θ 23.01, I 30; 2θ 26.82, I 38; 2θ 27.39, I 100; 2θ 33.24, I 21; 2θ 36.06, I 29; 2θ 48.41, I 25; 2θ 55.28, I 30; 2θ 69.79, I 17

Atomic structure:
```
TlW6O18
1.0
7.521 0.000 0.000
-3.760 6.513 0.000
0.000 0.000 7.730
Tl W O
1 6 18
Cartesian
0.000 0.000 0.000 Tl
-1.880 3.257 1.933 W
-1.880 3.257 5.797 W
3.760 0.000 1.933 W
3.760 0.000 5.797 W
1.880 3.257 1.933 W
1.880 3.257 5.797 W
-1.880 3.257 0.000 O
-1.880 3.257 3.865 O
0.000 2.763 1.923 O
0.000 2.763 5.807 O
-1.367 5.132 1.923 O
-1.367 5.132 5.807 O
2.393 1.382 1.923 O
2.393 1.382 5.807 O
3.760 0.000 0.000 O
3.760 0.000 3.865 O
1.880 3.257 0.000 O
1.880 3.257 3.865 O
1.367 5.132 1.923 O
1.367 5.132 5.807 O
5.128 1.382 1.923 O
5.128 1.382 5.807 O
3.760 3.750 1.923 O
3.760 3.750 5.807 O
```

---

# LiV3Te2O12
Calculated powder diffractogram, Cu Kα (λ = 1.5418 Å). Input: the GGA+U geometry in the Materials Project.

Largest 8 diffraction maxima, by angle, 10 to 90 degrees two-theta:
2θ 12.65, I 90; 2θ 21.23, I 59; 2θ 22.74, I 68; 2θ 25.46, I 100; 2θ 28.01, I 89; 2θ 28.84, I 66; 2θ 29.69, I 45; 2θ 50.79, I 44

Atomic structure:
```
LiV3Te2O12
1.0
6.302 0.000 0.000
-1.863 7.003 0.000
-0.610 -0.440 10.780
Li V Te O
2 6 4 24
Cartesian
0.666 1.406 4.215 Li
3.163 5.157 6.565 Li
0.223 5.196 8.033 V
0.712 5.214 4.483 V
0.857 5.609 0.847 V
2.971 0.953 9.932 V
3.116 1.348 6.297 V
3.606 1.366 2.746 V
0.122 0.966 7.677 Te
0.592 1.468 0.995 Te
3.237 5.095 9.785 Te
3.707 5.596 3.103 Te
-1.546 6.027 7.701 O
-0.965 5.949 4.125 O
-0.887 6.552 1.022 O
-0.376 3.680 8.020 O
0.170 4.123 0.813 O
0.427 3.620 4.368 O
1.129 1.314 6.095 O
1.161 1.439 10.323 O
1.715 1.782 2.512 O
0.195 5.772 9.791 O
0.699 5.619 6.262 O
1.317 5.794 2.650 O
2.512 0.768 8.130 O
3.129 0.944 4.518 O
3.633 0.790 0.988 O
2.114 4.781 8.268 O
2.668 5.123 0.457 O
2.700 5.249 4.685 O
3.402 2.943 6.412 O
3.659 2.439 9.967 O
4.205 2.883 2.760 O
4.715 0.010 9.758 O
4.793 0.614 6.654 O
5.374 0.535 3.079 O
```